Th2Be3CoIr4: simulated powder X-ray diffraction pattern (copper Kα), based on a cell relaxed with PBE.
Lines closer than 0.1° are merged.

Principal peaks in the range 2θ = 10–90°, sorted by position:
| d_spacing | two_theta | I/Imax |
| --- | --- | --- |
| 3.114 | 28.7 | 34.9 |
| 2.770 | 32.3 | 40.8 |
| 2.521 | 35.6 | 49.3 |
| 2.478 | 36.3 | 100.0 |
| 2.045 | 44.3 | 52.6 |
| 1.588 | 58.1 | 24.7 |

Atomic structure:
```
Th2Be3CoIr4
1.0
4.090 0.000 0.000
0.000 4.090 0.000
0.000 0.000 9.607
Th Be Co Ir
2 3 1 4
direct
0.000 0.500 0.241 Th
0.500 0.000 0.759 Th
0.000 0.500 0.885 Be
0.500 0.000 0.115 Be
0.500 0.500 0.500 Be
0.000 0.000 0.500 Co
0.000 0.000 0.000 Ir
0.000 0.500 0.638 Ir
0.500 0.000 0.362 Ir
0.500 0.500 0.000 Ir
```

YMn4Se8: simulated powder X-ray diffraction pattern (copper Kα), based on a cell relaxed with PBE.
Lines closer than 0.1° are merged.

Principal peaks in the range 2θ = 10–90°, sorted by position:
| d_spacing | two_theta | I/Imax |
| --- | --- | --- |
| 6.691 | 13.2 | 31.3 |
| 3.059 | 29.2 | 16.1 |
| 2.705 | 33.1 | 100.0 |
| 1.977 | 45.9 | 31.2 |
| 1.854 | 49.1 | 34.5 |
| 1.529 | 60.5 | 16.5 |

Atomic structure:
```
YMn4Se8
1.0
3.708 2.141 6.691
-3.708 2.141 6.691
0.000 -4.282 6.691
Y Mn Se
1 4 8
direct
0.000 0.000 0.000 Y
0.000 0.000 0.500 Mn
0.000 0.500 0.000 Mn
0.500 0.000 0.000 Mn
0.500 0.500 0.500 Mn
0.233 0.741 0.741 Se
0.234 0.234 0.234 Se
0.259 0.259 0.767 Se
0.259 0.767 0.259 Se
0.741 0.233 0.741 Se
0.741 0.741 0.233 Se
0.766 0.766 0.766 Se
0.767 0.259 0.259 Se
```